Starting from a cell relaxed with GGA-PBE, the powder diffraction line list of KAg2SnBr8 was computed for Cu Kα (λ = 1.5418 Å).

Structural model:
```
12
Lattice="6.991 0.000 0.000 -1.523 7.284 0.000 -2.893 -1.127 8.497" Properties=species:S:1:pos:R:3 pbc="T T T"
K 0.000 0.000 0.000
Ag 0.070 1.906 6.834
Ag 2.504 4.250 1.663
Sn -1.447 -0.564 4.249
Br -0.565 1.983 4.295
Br -2.095 2.521 8.343
Br -0.822 6.004 2.968
Br -1.702 6.279 6.593
Br 4.276 -0.123 1.904
Br 3.397 0.152 5.529
Br 4.670 3.635 0.154
Br 3.139 4.173 4.202
```

Most intense lines, 2θ from 5° to 70°, in order of rising 2θ:
14.2 deg, 6.252 Å, I 56; 15.0 deg, 5.898 Å, I 100; 16.1 deg, 5.490 Å, I 35; 24.7 deg, 3.610 Å, I 33; 28.8 deg, 3.095 Å, I 62; 29.6 deg, 3.018 Å, I 72; 30.2 deg, 2.962 Å, I 37; 31.1 deg, 2.873 Å, I 26; 38.4 deg, 2.343 Å, I 25; 39.5 deg, 2.283 Å, I 22; 42.6 deg, 2.122 Å, I 20; 46.2 deg, 1.966 Å, I 17

Starting from a cell relaxed with GGA-PBE, the powder diffraction line list of MgAlH5 was computed for Cu Kα (λ = 1.5418 Å).

Structural model:
```
14
Lattice="3.739 -3.387 0.000 3.739 3.387 0.000 -3.299 0.000 6.198" Properties=species:S:1:pos:R:3 pbc="T T T"
Mg 3.739 -3.386 0.000
Mg 2.090 3.386 3.099
Al 1.261 0.523 4.650
Al 2.911 -0.523 1.551
H 2.912 2.895 1.548
H 1.683 0.359 0.985
H 1.777 1.446 3.402
H 0.735 1.444 5.894
H 0.033 -0.359 4.084
H 4.139 0.354 2.115
H 3.426 -1.446 0.303
H 2.385 -1.444 2.795
H 2.490 -0.354 5.214
H 1.263 -2.895 4.647
```

Most intense lines, 2θ from 5° to 70°, in order of rising 2θ:
19.4 deg, 4.574 Å, I 17; 26.3 deg, 3.387 Å, I 42; 27.0 deg, 3.301 Å, I 69; 28.6 deg, 3.117 Å, I 100; 30.1 deg, 2.972 Å, I 17; 35.8 deg, 2.507 Å, I 13; 38.1 deg, 2.364 Å, I 25; 39.8 deg, 2.266 Å, I 65; 52.1 deg, 1.755 Å, I 11; 59.3 deg, 1.558 Å, I 11; 59.7 deg, 1.550 Å, I 12; 63.8 deg, 1.459 Å, I 18

Starting from a cell relaxed with GGA-PBE, the powder diffraction line list of Tb3Sc2Hg3 was computed for Cu Kα (λ = 1.5418 Å).

Structural model:
```
16
Lattice="3.662 0.000 0.000 0.000 5.202 0.000 0.000 0.000 21.651" Properties=species:S:1:pos:R:3 pbc="T T T"
Tb 0.000 0.000 0.000
Tb 0.000 2.601 2.710
Tb 0.000 2.601 18.941
Tb 1.831 0.000 8.115
Tb 1.831 0.000 13.536
Tb 1.831 2.601 10.826
Sc 0.000 0.000 5.111
Sc 0.000 0.000 16.540
Sc 1.831 2.601 5.714
Sc 1.831 2.601 15.937
Hg 0.000 0.000 10.826
Hg 0.000 2.601 8.048
Hg 0.000 2.601 13.603
Hg 1.831 0.000 2.778
Hg 1.831 0.000 18.874
Hg 1.831 2.601 0.000
```

Most intense lines, 2θ from 5° to 70°, in order of rising 2θ:
8.2 deg, 10.826 Å, I 28; 16.4 deg, 5.413 Å, I 8; 31.0 deg, 2.886 Å, I 8; 33.1 deg, 2.706 Å, I 26; 34.2 deg, 2.620 Å, I 100; 34.5 deg, 2.601 Å, I 25; 48.5 deg, 1.875 Å, I 18; 49.8 deg, 1.831 Å, I 9; 59.8 deg, 1.545 Å, I 19; 61.1 deg, 1.516 Å, I 9; 61.6 deg, 1.505 Å, I 18; 62.0 deg, 1.497 Å, I 9

Starting from a cell relaxed with GGA-PBE, the powder diffraction line list of Pm3Mn2C4 was computed for Cu Kα (λ = 1.5418 Å).

Structural model:
```
9
Lattice="5.746 -1.806 0.000 5.746 1.806 0.000 -0.291 0.000 6.551" Properties=species:S:1:pos:R:3 pbc="T T T"
Pm 0.000 0.000 0.000
Pm 4.093 0.000 3.430
Pm 7.107 0.000 3.122
Mn 2.541 0.000 5.765
Mn 8.660 0.000 0.786
C 2.483 0.000 1.442
C 3.920 0.000 0.874
C 7.280 0.000 5.677
C 8.717 0.000 5.109
```

Most intense lines, 2θ from 5° to 70°, in order of rising 2θ:
27.2 deg, 3.276 Å, I 60; 29.1 deg, 3.067 Å, I 43; 29.4 deg, 3.033 Å, I 100; 33.5 deg, 2.673 Å, I 54; 34.1 deg, 2.627 Å, I 54; 34.7 deg, 2.587 Å, I 48; 43.5 deg, 2.080 Å, I 57; 46.9 deg, 1.938 Å, I 20; 49.7 deg, 1.834 Å, I 36; 50.5 deg, 1.806 Å, I 22; 56.0 deg, 1.641 Å, I 22; 62.0 deg, 1.497 Å, I 18